Simulated powder XRD pattern of PmNiSeO5 for Cu Kα (weighted mean of Kα1 and Kα2), from a cell relaxed with GGA+U.
Lines closer than 0.1° are merged.

Principal peaks in the range 2θ = 10–90°, low angle first:
- (1 1 -1), d = 5.051 Å, 2θ = 17.6°, I = 88
- (1 1 1), d = 3.933 Å, 2θ = 22.6°, I = 60
- (0 2 2), d = 3.066 Å, 2θ = 29.1°, I = 100
- (1 3 -1), d = 3.052 Å, 2θ = 29.3°, I = 38
- (2 0 -2), d = 2.855 Å, 2θ = 31.3°, I = 35
- (2 2 0), d = 2.718 Å, 2θ = 33.0°, I = 57
- (0 4 0), d = 2.709 Å, 2θ = 33.1°, I = 25
- (2 4 -2), d = 1.965 Å, 2θ = 46.2°, I = 28
- (2 2 -4), d = 1.760 Å, 2θ = 52.0°, I = 20
- (2 4 2), d = 1.665 Å, 2θ = 55.2°, I = 22

Cell and atoms:
Unit cell a=6.582 b=10.835 c=7.789 alpha=90.00 beta=107.30 gamma=90.00
Space group C2/c (No. 15)
One atom of each set of equivalent atoms:
Pm (0.250, 0.250, 0.000) x4
Ni (0.000, 0.006, 0.750) x4
Se (0.000, 0.476, 0.250) x4
O (0.000, 0.177, 0.750) x4
O (0.003, 0.377, 0.083) x8
O (0.215, 0.059, 0.157) x8